This entry pairs a crystal structure of NdZnNi5Ge2 with its calculated PXRD pattern. Radiation: copper Kα. Structure: a PBE-relaxed structure.
Lines closer than 0.1° are merged.

Principal peaks in the range 10° ≤ 2θ ≤ 80°, most intense first:
- 2.365 Å, 38.05 deg, intensity 100
- 2.182 Å, 41.38 deg, intensity 86
- 2.814 Å, 31.80 deg, intensity 37
- 1.543 Å, 59.95 deg, intensity 27
- 1.921 Å, 47.32 deg, intensity 27
- 1.292 Å, 73.25 deg, intensity 26

Structure:
Unit cell a=4.3642 b=4.3642 c=7.3629 alpha=90.00 beta=90.00 gamma=90.00
Sites, in units of the cell vectors:
Nd1 0.0000 0.0000 0.0000
Zn1 0.0000 0.0000 0.5000
Ni1 0.0000 0.5000 0.2414
Ni2 0.0000 0.5000 0.7586
Ni3 0.5000 0.0000 0.2414
Ni4 0.5000 0.0000 0.7586
Ni5 0.5000 0.5000 0.0000
Ge1 0.5000 0.5000 0.3353
Ge2 0.5000 0.5000 0.6647

***

This entry pairs a crystal structure of Nd2GeO5 with its calculated PXRD pattern. Radiation: copper Kα. Structure: a PBE-relaxed structure.
Lines closer than 0.1° are merged.

Principal peaks in the range 10° ≤ 2θ ≤ 80°, most intense first:
- 3.439 Å, 25.91 deg, intensity 100
- 2.649 Å, 33.83 deg, intensity 95
- 2.845 Å, 31.44 deg, intensity 69
- 5.690 Å, 15.57 deg, intensity 61
- 2.153 Å, 41.97 deg, intensity 43
- 1.914 Å, 47.50 deg, intensity 41

Structure:
Unit cell a=8.6896 b=8.3114 c=3.8303 alpha=90.00 beta=116.05 gamma=90.00
Sites, in units of the cell vectors:
Nd1 0.0000 0.2236 0.0000
Nd2 0.0000 0.7764 0.0000
Nd3 0.5000 0.2764 0.0000
Nd4 0.5000 0.7236 0.0000
Ge1 0.2162 0.0000 0.7154
Ge2 0.7162 0.5000 0.7154
O1 0.1946 0.2355 0.6942
O2 0.1946 0.7645 0.6942
O3 0.1995 0.0000 0.1989
O4 0.4522 0.0000 0.9506
O5 0.4653 0.5000 0.4658
O6 0.6946 0.2645 0.6942
O7 0.6946 0.7355 0.6942
O8 0.6995 0.5000 0.1989
O9 0.9522 0.5000 0.9506
O10 0.9653 0.0000 0.4658

***

This entry pairs a crystal structure of Nd3Ge2O8 with its calculated PXRD pattern. Radiation: copper Kα. Structure: a PBE-relaxed structure.
Lines closer than 0.1° are merged.

Principal peaks in the range 10° ≤ 2θ ≤ 80°, most intense first:
- 3.049 Å, 29.29 deg, intensity 100
- 2.812 Å, 31.83 deg, intensity 99
- 2.067 Å, 43.80 deg, intensity 44
- 1.665 Å, 55.15 deg, intensity 37
- 1.815 Å, 50.28 deg, intensity 29
- 1.340 Å, 70.23 deg, intensity 20

Structure:
Unit cell a=7.2816 b=7.2816 c=7.2816 alpha=45.43 beta=45.43 gamma=45.43
Sites, in units of the cell vectors:
Nd1 0.0000 0.0000 0.0000
Nd2 0.2007 0.2007 0.2007
Nd3 0.7993 0.7993 0.7993
Ge1 0.4060 0.4060 0.4060
Ge2 0.5940 0.5940 0.5940
O1 0.2192 0.7379 0.7379
O2 0.2621 0.2621 0.7808
O3 0.2621 0.7808 0.2621
O4 0.3166 0.3166 0.3166
O5 0.6834 0.6834 0.6834
O6 0.7379 0.2192 0.7379
O7 0.7379 0.7379 0.2192
O8 0.7808 0.2621 0.2621

***

This entry pairs a crystal structure of Nd2GeO with its calculated PXRD pattern. Radiation: copper Kα. Structure: a PBE-relaxed structure.
Lines closer than 0.1° are merged.

Principal peaks in the range 10° ≤ 2θ ≤ 80°, most intense first:
- 2.947 Å, 30.33 deg, intensity 100
- 2.985 Å, 29.94 deg, intensity 99
- 2.748 Å, 32.58 deg, intensity 81
- 3.277 Å, 27.22 deg, intensity 77
- 3.395 Å, 26.25 deg, intensity 68
- 2.097 Å, 43.14 deg, intensity 68

Structure:
Unit cell a=5.9775 b=5.8934 c=12.2487 alpha=90.00 beta=116.17 gamma=90.00
Sites, in units of the cell vectors:
Nd1 0.0976 0.2172 0.1077
Nd2 0.0976 0.7828 0.6077
Nd3 0.3148 0.2360 0.8589
Nd4 0.3148 0.7640 0.3589
Nd5 0.6852 0.2360 0.6411
Nd6 0.6852 0.7640 0.1411
Nd7 0.9024 0.2172 0.3923
Nd8 0.9024 0.7828 0.8923
Ge1 0.3876 0.2647 0.3745
Ge2 0.3876 0.7353 0.8745
Ge3 0.6124 0.2647 0.1255
Ge4 0.6124 0.7353 0.6255
O1 0.0512 0.1764 0.6229
O2 0.0512 0.8236 0.1229
O3 0.9488 0.1764 0.8771
O4 0.9488 0.8236 0.3771

***

This entry pairs a crystal structure of Pm2Nd4Ge3O2 with its calculated PXRD pattern. Radiation: copper Kα. Structure: a PBE-relaxed structure.
Lines closer than 0.1° are merged.

Principal peaks in the range 10° ≤ 2θ ≤ 80°, most intense first:
- 2.588 Å, 34.67 deg, intensity 100
- 3.220 Å, 27.70 deg, intensity 72
- 2.360 Å, 38.14 deg, intensity 68
- 1.402 Å, 66.71 deg, intensity 30
- 1.668 Å, 55.04 deg, intensity 24
- 4.093 Å, 21.71 deg, intensity 23

Structure:
Unit cell a=12.7410 b=12.7410 c=12.7410 alpha=158.66 beta=158.66 gamma=30.36
Sites, in units of the cell vectors:
Pm1 0.1988 0.1988 0.0000
Pm2 0.8012 0.8012 0.0000
Nd1 0.0801 0.5801 0.5000
Nd2 0.4199 0.9199 0.5000
Nd3 0.5801 0.0801 0.5000
Nd4 0.9199 0.4199 0.5000
Ge1 0.3239 0.3239 0.0000
Ge2 0.5000 0.5000 0.0000
Ge3 0.6761 0.6761 0.0000
O1 0.1031 0.1031 0.0000
O2 0.8969 0.8969 0.0000

***

This entry pairs a crystal structure of NdGeRhO with its calculated PXRD pattern. Radiation: copper Kα. Structure: a PBE-relaxed structure.
Lines closer than 0.1° are merged.

Principal peaks in the range 10° ≤ 2θ ≤ 80°, most intense first:
- 2.959 Å, 30.20 deg, intensity 100
- 2.060 Å, 43.95 deg, intensity 46
- 1.718 Å, 53.34 deg, intensity 43
- 1.691 Å, 54.25 deg, intensity 38
- 2.756 Å, 32.48 deg, intensity 37
- 2.404 Å, 37.41 deg, intensity 36

Structure:
Unit cell a=4.1205 b=4.1205 c=8.5053 alpha=90.00 beta=90.00 gamma=90.00
Sites, in units of the cell vectors:
Nd1 0.2500 0.2500 0.1350
Nd2 0.7500 0.7500 0.8650
Ge1 0.2500 0.2500 0.6565
Ge2 0.7500 0.7500 0.3435
Rh1 0.2500 0.7500 0.5000
Rh2 0.7500 0.2500 0.5000
O1 0.2500 0.7500 0.0000
O2 0.7500 0.2500 0.0000

***

This entry pairs a crystal structure of NdGeRuO with its calculated PXRD pattern. Radiation: copper Kα. Structure: a PBE-relaxed structure.
Lines closer than 0.1° are merged.

Principal peaks in the range 10° ≤ 2θ ≤ 80°, most intense first:
- 2.926 Å, 30.55 deg, intensity 100
- 2.112 Å, 42.82 deg, intensity 49
- 1.678 Å, 54.68 deg, intensity 42
- 1.713 Å, 53.51 deg, intensity 41
- 2.803 Å, 31.93 deg, intensity 34
- 2.406 Å, 37.38 deg, intensity 31

Structure:
Unit cell a=4.2239 b=4.2239 c=8.1167 alpha=90.00 beta=90.00 gamma=90.00
Sites, in units of the cell vectors:
Nd1 0.2500 0.2500 0.1367
Nd2 0.7500 0.7500 0.8633
Ge1 0.2500 0.2500 0.6443
Ge2 0.7500 0.7500 0.3557
Ru1 0.2500 0.7500 0.5000
Ru2 0.7500 0.2500 0.5000
O1 0.2500 0.7500 0.0000
O2 0.7500 0.2500 0.0000

***

This entry pairs a crystal structure of Nd4SnGeO with its calculated PXRD pattern. Radiation: copper Kα. Structure: a PBE-relaxed structure.
Lines closer than 0.1° are merged.

Principal peaks in the range 10° ≤ 2θ ≤ 80°, most intense first:
- 2.334 Å, 38.57 deg, intensity 100
- 3.076 Å, 29.03 deg, intensity 84
- 3.094 Å, 28.86 deg, intensity 82
- 2.632 Å, 34.06 deg, intensity 62
- 2.621 Å, 34.20 deg, intensity 60
- 1.816 Å, 50.23 deg, intensity 59

Structure:
Unit cell a=9.2778 b=9.2778 c=6.6224 alpha=90.00 beta=90.00 gamma=138.45
Sites, in units of the cell vectors:
Nd1 0.0000 0.5000 0.0000
Nd2 0.0000 0.5000 0.5000
Nd3 0.0626 0.9374 0.7500
Nd4 0.4219 0.5781 0.7500
Nd5 0.5000 0.0000 0.0000
Nd6 0.5000 0.0000 0.5000
Nd7 0.5781 0.4219 0.2500
Nd8 0.9374 0.0626 0.2500
Sn1 0.3901 0.6099 0.2500
Sn2 0.6099 0.3901 0.7500
Ge1 0.1160 0.8840 0.2500
Ge2 0.8840 0.1160 0.7500
O1 0.2817 0.7183 0.7500
O2 0.7183 0.2817 0.2500

***

This entry pairs a crystal structure of NdGe4Os with its calculated PXRD pattern. Radiation: copper Kα. Structure: a PBE-relaxed structure.
Lines closer than 0.1° are merged.

Principal peaks in the range 10° ≤ 2θ ≤ 80°, most intense first:
- 2.828 Å, 31.64 deg, intensity 100
- 2.622 Å, 34.19 deg, intensity 94
- 2.836 Å, 31.54 deg, intensity 69
- 2.126 Å, 42.51 deg, intensity 68
- 4.211 Å, 21.10 deg, intensity 62
- 3.032 Å, 29.46 deg, intensity 52

Structure:
Unit cell a=6.5232 b=6.5232 c=6.8001 alpha=94.68 beta=94.68 gamma=58.89
Sites, in units of the cell vectors:
Nd1 0.0930 0.9070 0.7500
Nd2 0.9070 0.0930 0.2500
Ge1 0.1301 0.3610 0.6443
Ge2 0.3201 0.5775 0.0882
Ge3 0.3610 0.1301 0.1443
Ge4 0.4225 0.6799 0.4118
Ge5 0.5775 0.3201 0.5882
Ge6 0.6390 0.8699 0.8557
Ge7 0.6799 0.4225 0.9118
Ge8 0.8699 0.6390 0.3557
Os1 0.0000 0.5000 0.0000
Os2 0.5000 0.0000 0.5000

***

This entry pairs a crystal structure of Nd3Ge13Os4 with its calculated PXRD pattern. Radiation: copper Kα. Structure: a PBE-relaxed structure.
Lines closer than 0.1° are merged.

Principal peaks in the range 10° ≤ 2θ ≤ 80°, most intense first:
- 2.544 Å, 35.28 deg, intensity 100
- 2.293 Å, 39.29 deg, intensity 63
- 1.872 Å, 48.63 deg, intensity 58
- 4.586 Å, 19.36 deg, intensity 57
- 2.648 Å, 33.86 deg, intensity 51
- 2.051 Å, 44.16 deg, intensity 39

Structure:
Unit cell a=9.1716 b=9.1716 c=9.1716 alpha=90.00 beta=90.00 gamma=90.00
Sites, in units of the cell vectors:
Nd1 0.0000 0.2500 0.5000
Nd2 0.0000 0.7500 0.5000
Nd3 0.2500 0.5000 0.0000
Nd4 0.5000 0.0000 0.2500
Nd5 0.5000 0.0000 0.7500
Nd6 0.7500 0.5000 0.0000
Ge1 0.0000 0.0000 0.0000
Ge2 0.0000 0.2939 0.1455
Ge3 0.0000 0.2939 0.8545
Ge4 0.0000 0.7061 0.1455
Ge5 0.0000 0.7061 0.8545
Ge6 0.1455 0.0000 0.2939
Ge7 0.1455 0.0000 0.7061
Ge8 0.2061 0.5000 0.3545
Ge9 0.2061 0.5000 0.6455
Ge10 0.2939 0.1455 0.0000
Ge11 0.2939 0.8545 0.0000
Ge12 0.3545 0.2061 0.5000
Ge13 0.3545 0.7939 0.5000
Ge14 0.5000 0.3545 0.2061
Ge15 0.5000 0.3545 0.7939
Ge16 0.5000 0.5000 0.5000
Ge17 0.5000 0.6455 0.2061
Ge18 0.5000 0.6455 0.7939
Ge19 0.6455 0.2061 0.5000
Ge20 0.6455 0.7939 0.5000
Ge21 0.7061 0.1455 0.0000
Ge22 0.7061 0.8545 0.0000
Ge23 0.7939 0.5000 0.3545
Ge24 0.7939 0.5000 0.6455
Ge25 0.8545 0.0000 0.2939
Ge26 0.8545 0.0000 0.7061
Os1 0.2500 0.2500 0.2500
Os2 0.2500 0.2500 0.7500
Os3 0.2500 0.7500 0.2500
Os4 0.2500 0.7500 0.7500
Os5 0.7500 0.2500 0.2500
Os6 0.7500 0.2500 0.7500
Os7 0.7500 0.7500 0.2500
Os8 0.7500 0.7500 0.7500

***

This entry pairs a crystal structure of Nd2Ge5Os with its calculated PXRD pattern. Radiation: copper Kα. Structure: a PBE-relaxed structure.
Lines closer than 0.1° are merged.

Principal peaks in the range 10° ≤ 2θ ≤ 80°, most intense first:
- 3.146 Å, 28.37 deg, intensity 100
- 2.551 Å, 35.17 deg, intensity 68
- 2.181 Å, 41.40 deg, intensity 68
- 2.639 Å, 33.96 deg, intensity 45
- 1.573 Å, 58.70 deg, intensity 42
- 2.271 Å, 39.69 deg, intensity 38

Structure:
Unit cell a=6.1681 b=6.1681 c=9.0831 alpha=90.00 beta=90.00 gamma=90.00
Sites, in units of the cell vectors:
Nd1 0.0000 0.5000 0.0000
Nd2 0.0000 0.5000 0.5000
Nd3 0.5000 0.0000 0.0000
Nd4 0.5000 0.0000 0.5000
Ge1 0.0000 0.0000 0.4552
Ge2 0.2152 0.2152 0.2408
Ge3 0.2152 0.7848 0.2408
Ge4 0.2848 0.2848 0.7408
Ge5 0.2848 0.7152 0.7408
Ge6 0.5000 0.5000 0.9552
Ge7 0.7152 0.2848 0.7408
Ge8 0.7152 0.7152 0.7408
Ge9 0.7848 0.2152 0.2408
Ge10 0.7848 0.7848 0.2408
Os1 0.0000 0.0000 0.7205
Os2 0.5000 0.5000 0.2205

***

This entry pairs a crystal structure of Nd7GeP5 with its calculated PXRD pattern. Radiation: copper Kα. Structure: a PBE-relaxed structure.
Lines closer than 0.1° are merged.

Principal peaks in the range 10° ≤ 2θ ≤ 80°, most intense first:
- 3.119 Å, 28.62 deg, intensity 100
- 2.988 Å, 29.90 deg, intensity 77
- 2.883 Å, 31.02 deg, intensity 68
- 2.086 Å, 43.37 deg, intensity 55
- 3.343 Å, 26.67 deg, intensity 48
- 2.075 Å, 43.63 deg, intensity 45

Structure:
Unit cell a=7.1692 b=7.1692 c=24.5118 alpha=90.00 beta=90.00 gamma=146.19
Sites, in units of the cell vectors:
Nd1 0.0470 0.9530 0.7500
Nd2 0.1365 0.8635 0.0352
Nd3 0.1365 0.8635 0.4648
Nd4 0.3190 0.6810 0.6754
Nd5 0.3190 0.6810 0.8246
Nd6 0.4109 0.5891 0.1056
Nd7 0.4109 0.5891 0.3944
Nd8 0.5891 0.4109 0.6056
Nd9 0.5891 0.4109 0.8944
Nd10 0.6810 0.3190 0.1754
Nd11 0.6810 0.3190 0.3246
Nd12 0.8635 0.1365 0.5352
Nd13 0.8635 0.1365 0.9648
Nd14 0.9530 0.0470 0.2500
Ge1 0.2973 0.7027 0.2500
Ge2 0.7027 0.2973 0.7500
P1 0.0455 0.9545 0.1454
P2 0.0455 0.9545 0.3546
P3 0.2270 0.7730 0.5735
P4 0.2270 0.7730 0.9265
P5 0.5000 0.5000 0.0000
P6 0.5000 0.5000 0.5000
P7 0.7730 0.2270 0.0735
P8 0.7730 0.2270 0.4265
P9 0.9545 0.0455 0.6454
P10 0.9545 0.0455 0.8546